Structure and computed powder diffraction line list of Sr2InH6Ir (a cell relaxed with PBE; λ = 1.5418 Å (Cu Kα)).
Intensities are scaled so that the largest is 100.

```
data_Sr2InH6Ir
_symmetry_space_group_name_H-M 'P 1'
_symmetry_Int_Tables_number 1
_cell_length_a 4.9999
_cell_length_b 4.9999
_cell_length_c 7.2212
_cell_angle_alpha 90.00
_cell_angle_beta 90.00
_cell_angle_gamma 120.00
loop_
_symmetry_equiv_pos_as_xyz
'x,y,z'
loop_
_atom_site_label
_atom_site_type_symbol
_atom_site_fract_x
_atom_site_fract_y
_atom_site_fract_z
_atom_site_occupancy
Sr1 Sr 0.3333 0.6667 0.2094 1
Sr2 Sr 0.6667 0.3333 0.7906 1
In1 In 0.0000 0.0000 0.5000 1
H1 H 0.1618 0.3237 0.8701 1
H2 H 0.1618 0.8382 0.8701 1
H3 H 0.3237 0.1618 0.1299 1
H4 H 0.6763 0.8382 0.8701 1
H5 H 0.8382 0.1618 0.1299 1
H6 H 0.8382 0.6763 0.1299 1
Ir1 Ir 0.0000 0.0000 0.0000 1
```

Largest 12 diffraction maxima, in order of rising 2θ, 5 to 70 degrees two-theta:
2theta  Rel. int.
12.26  16
20.51  49
23.96  34
32.28  100
35.92  57
41.72  7
42.99  9
49.06  31
55.12  12
62.29  30
63.57  15
64.57  11